# RbNbNi2Cl
Theoretical PXRD pattern, Cu Kα, 1.54184 Å. Input: a structure optimized by DFT (PBE).

Structure:
```
RbNbNi2Cl
1.0
4.443 0.000 0.000
0.000 4.443 0.000
0.000 0.000 5.559
Rb Nb Ni Cl
1 1 2 1
Direct
0.000 0.000 0.000
0.500 0.500 0.000
0.000 0.500 0.500
0.500 0.000 0.500
0.000 0.000 0.500
```

Main lines, low angle first (5° ≤ 2θ ≤ 70°):
3.471 Å, intensity 54, hkl 1 0 1
3.142 Å, intensity 74, hkl 1 1 0
2.779 Å, intensity 415, hkl 0 0 2
2.735 Å, intensity 1000, hkl 1 1 1
2.222 Å, intensity 428, hkl 2 0 0
1.735 Å, intensity 385, hkl 2 0 2
1.596 Å, intensity 189, hkl 1 1 3
1.571 Å, intensity 137, hkl 2 2 0
1.368 Å, intensity 168, hkl 2 2 2
1.362 Å, intensity 218, hkl 3 1 1